No. 1
Starting from a crystal structure in Alexandria, relaxed with GGA-PBE, the powder diffraction line list of Cs2SrFeBr6 was computed for Cu Kα (weighted mean of Kα1 and Kα2).

Atomic structure:
```
data_Cs2SrFeBr6
_chemical_formula_sum 'Cs2 Sr1 Fe1 Br6'
_cell_length_a 7.9663
_cell_length_b 7.9663
_cell_length_c 7.1632
_cell_angle_alpha 90.00
_cell_angle_beta 90.00
_cell_angle_gamma 120.00
_symmetry_space_group_name_H-M 'P -3 m 1'
_symmetry_Int_Tables_number 164
_symmetry_space_group_name_Hall '-P 3 2"'
loop_
_atom_site_label
_atom_site_fract_x
_atom_site_fract_y
_atom_site_fract_z
Cs1 0.3333 0.6667 0.1900
Sr1 0.0000 0.0000 0.5000
Fe1 0.0000 0.0000 0.0000
Br1 0.1599 0.3197 0.7872
```

The 10 most intense peaks (10 to 90 degrees two-theta), low angle first:
12.8°, d = 6.899 Å, rel. 14
22.3°, d = 3.983 Å, rel. 14
24.9°, d = 3.582 Å, rel. 14
28.7°, d = 3.108 Å, rel. 100
36.2°, d = 2.485 Å, rel. 44
45.5°, d = 1.992 Å, rel. 27
46.2°, d = 1.963 Å, rel. 15
54.7°, d = 1.677 Å, rel. 15
58.0°, d = 1.589 Å, rel. 10
73.9°, d = 1.283 Å, rel. 12

=====

No. 2
Starting from a crystal structure in Alexandria, relaxed with GGA-PBE, the powder diffraction line list of CsTlFe2Br6 was computed for Cu Kα (weighted mean of Kα1 and Kα2).

Atomic structure:
```
data_CsTlFe2Br6
_chemical_formula_sum 'Cs4 Tl4 Fe8 Br24'
_cell_length_a 14.733
_cell_length_b 14.197
_cell_length_c 7.697
_cell_angle_alpha 90.00
_cell_angle_beta 103.27
_cell_angle_gamma 90.00
_symmetry_space_group_name_H-M 'C 1 2/c 1'
_symmetry_Int_Tables_number 15
loop_
_symmetry_equiv_pos_as_xyz
'x,y,z'
'-x,-y,-z'
'-x,y,-z+1/2'
'x,-y,z+1/2'
'x+1/2,y+1/2,z'
'-x+1/2,-y+1/2,-z'
'-x+1/2,y+1/2,-z+1/2'
'x+1/2,-y+1/2,z+1/2'
loop_
_atom_site_label
_atom_site_fract_x
_atom_site_fract_y
_atom_site_fract_z
Cs1 0.000 0.184 0.250
Tl1 0.000 0.395 0.750
Fe1 0.214 0.083 0.762
Br1 0.119 0.416 0.173
Br2 0.146 0.026 0.012
Br3 0.154 0.238 0.681
```

The 10 most intense peaks (10 to 90 degrees two-theta), low angle first:
19.6°, d = 4.535 Å, rel. 100
22.8°, d = 3.903 Å, rel. 40
23.8°, d = 3.745 Å, rel. 38
27.3°, d = 3.272 Å, rel. 48
28.0°, d = 3.186 Å, rel. 41
29.3°, d = 3.046 Å, rel. 21
32.1°, d = 2.785 Å, rel. 35
37.5°, d = 2.397 Å, rel. 30
40.9°, d = 2.206 Å, rel. 26
55.2°, d = 1.663 Å, rel. 24

=====

No. 3
Starting from a crystal structure in Alexandria, relaxed with GGA-PBE, the powder diffraction line list of CsTlFe2Br8 was computed for Cu Kα (weighted mean of Kα1 and Kα2).

Atomic structure:
```
data_CsTlFe2Br8
_chemical_formula_sum 'Cs2 Tl2 Fe4 Br16'
_cell_length_a 11.491
_cell_length_b 7.898
_cell_length_c 11.425
_cell_angle_alpha 90.00
_cell_angle_beta 96.16
_cell_angle_gamma 90.00
_symmetry_space_group_name_H-M 'C 1 2/m 1'
_symmetry_Int_Tables_number 12
loop_
_symmetry_equiv_pos_as_xyz
'x,y,z'
'-x,-y,-z'
'-x,y,-z'
'x,-y,z'
'x+1/2,y+1/2,z'
'-x+1/2,-y+1/2,-z'
'-x+1/2,y+1/2,-z'
'x+1/2,-y+1/2,z'
loop_
_atom_site_label
_atom_site_fract_x
_atom_site_fract_y
_atom_site_fract_z
Cs1 0.000 0.000 0.000
Tl1 0.000 0.000 0.500
Fe1 0.081 0.500 0.265
Br1 0.041 0.258 0.736
Br2 0.176 0.500 0.093
Br3 0.206 0.500 0.441
```

The 10 most intense peaks (10 to 90 degrees two-theta), low angle first:
15.3°, d = 5.794 Å, rel. 54
15.5°, d = 5.712 Å, rel. 71
20.1°, d = 4.412 Å, rel. 53
21.4°, d = 4.152 Å, rel. 56
26.0°, d = 3.430 Å, rel. 76
27.5°, d = 3.243 Å, rel. 100
29.1°, d = 3.072 Å, rel. 58
31.5°, d = 2.841 Å, rel. 44
31.8°, d = 2.818 Å, rel. 35
33.7°, d = 2.660 Å, rel. 36

=====

No. 4
Starting from a crystal structure in Alexandria, relaxed with GGA-PBE, the powder diffraction line list of Cs2Ga2Br7 was computed for Cu Kα (weighted mean of Kα1 and Kα2).

Atomic structure:
```
data_Cs2Ga2Br7
_chemical_formula_sum 'Cs4 Ga4 Br14'
_cell_length_a 6.674
_cell_length_b 16.968
_cell_length_c 9.090
_cell_angle_alpha 90.00
_cell_angle_beta 103.08
_cell_angle_gamma 90.00
_symmetry_space_group_name_H-M 'P 1 21/c 1'
_symmetry_Int_Tables_number 14
loop_
_symmetry_equiv_pos_as_xyz
'x,y,z'
'-x,-y,-z'
'-x,y+1/2,-z+1/2'
'x,-y+1/2,z+1/2'
loop_
_atom_site_label
_atom_site_fract_x
_atom_site_fract_y
_atom_site_fract_z
Cs1 0.141 0.150 0.464
Ga1 0.311 0.605 0.620
Br1 0.016 0.142 0.042
Br2 0.256 0.557 0.862
Br3 0.500 0.000 0.000
Br4 0.500 0.228 0.808
```

The 10 most intense peaks (10 to 90 degrees two-theta), low angle first:
18.3°, d = 4.854 Å, rel. 100
19.4°, d = 4.576 Å, rel. 76
20.8°, d = 4.274 Å, rel. 40
24.0°, d = 3.705 Å, rel. 48
25.1°, d = 3.553 Å, rel. 77
26.8°, d = 3.326 Å, rel. 33
32.1°, d = 2.789 Å, rel. 40
34.3°, d = 2.617 Å, rel. 42
37.8°, d = 2.383 Å, rel. 52
52.8°, d = 1.734 Å, rel. 38

=====

No. 5
Starting from a crystal structure in Alexandria, relaxed with GGA-PBE, the powder diffraction line list of Cs3GaBr4 was computed for Cu Kα (weighted mean of Kα1 and Kα2).

Atomic structure:
```
data_Cs3GaBr4
_chemical_formula_sum 'Cs12 Ga4 Br16'
_cell_length_a 10.145
_cell_length_b 13.326
_cell_length_c 10.555
_cell_angle_alpha 90.00
_cell_angle_beta 90.00
_cell_angle_gamma 90.00
_symmetry_space_group_name_H-M 'P n m a'
_symmetry_Int_Tables_number 62
loop_
_symmetry_equiv_pos_as_xyz
'x,y,z'
'-x,-y,-z'
'-x+1/2,-y,z+1/2'
'x+1/2,y,-z+1/2'
'x+1/2,-y+1/2,-z+1/2'
'-x+1/2,y+1/2,z+1/2'
'-x,y+1/2,-z'
'x,-y+1/2,z'
loop_
_atom_site_label
_atom_site_fract_x
_atom_site_fract_y
_atom_site_fract_z
Cs1 0.004 0.043 0.218
Cs2 0.182 0.750 0.429
Ga1 0.214 0.250 0.522
Br1 0.030 0.750 0.115
Br2 0.219 0.013 0.504
Br3 0.237 0.750 0.765
```

The 10 most intense peaks (10 to 90 degrees two-theta), low angle first:
21.7°, d = 4.094 Å, rel. 36
22.0°, d = 4.036 Å, rel. 37
24.3°, d = 3.657 Å, rel. 98
26.2°, d = 3.402 Å, rel. 60
26.8°, d = 3.332 Å, rel. 100
27.7°, d = 3.221 Å, rel. 58
27.8°, d = 3.206 Å, rel. 85
28.0°, d = 3.186 Å, rel. 57
38.9°, d = 2.316 Å, rel. 33
42.6°, d = 2.124 Å, rel. 33

=====

No. 6
Starting from a crystal structure in Alexandria, relaxed with GGA-PBE, the powder diffraction line list of Cs6Ga3Br14 was computed for Cu Kα (weighted mean of Kα1 and Kα2).

Atomic structure:
```
data_Cs6Ga3Br14
_chemical_formula_sum 'Cs6 Ga3 Br14'
_cell_length_a 13.2219
_cell_length_b 13.2219
_cell_length_c 6.8085
_cell_angle_alpha 90.00
_cell_angle_beta 90.00
_cell_angle_gamma 120.00
_symmetry_space_group_name_H-M 'P 3'
_symmetry_Int_Tables_number 143
loop_
_symmetry_equiv_pos_as_xyz
'x,y,z'
'-y,x-y,z'
'-x+y,-x,z'
loop_
_atom_site_label
_atom_site_fract_x
_atom_site_fract_y
_atom_site_fract_z
Cs1 0.0101 0.5628 0.0000
Cs2 0.3237 0.1022 0.5369
Ga1 0.0000 0.0000 0.9675
Ga2 0.3333 0.6667 0.4386
Ga3 0.6667 0.3333 0.2708
Br1 0.0000 0.0000 0.3139
Br2 0.0675 0.8758 0.8471
Br3 0.2095 0.4744 0.3212
Br4 0.3333 0.6667 0.7863
Br5 0.4560 0.1918 0.0494
Br6 0.5241 0.4015 0.4924
```

The 10 most intense peaks (10 to 90 degrees two-theta), low angle first:
18.7°, d = 4.743 Å, rel. 42
20.3°, d = 4.382 Å, rel. 80
24.4°, d = 3.652 Å, rel. 47
26.8°, d = 3.329 Å, rel. 73
27.3°, d = 3.263 Å, rel. 41
28.1°, d = 3.176 Å, rel. 96
30.6°, d = 2.926 Å, rel. 41
31.1°, d = 2.878 Å, rel. 100
38.8°, d = 2.322 Å, rel. 42
49.3°, d = 1.847 Å, rel. 39